No. 1
Calculated powder diffractogram of Li2CuSiO4 for Cu Kα (weighted mean of Kα1 and Kα2), from a crystal structure in Alexandria, relaxed with PBE.
Intensities are scaled so that the largest is 100.

```
data_Li2CuSiO4
_chemical_formula_sum 'Li8 Cu4 Si4 O16'
_space_group_name_H-M_alt 'P 1'
_space_group_IT_number 1
_cell_length_a 10.8666
_cell_length_b 4.9736
_cell_length_c 6.2900
_cell_angle_alpha 90.00
_cell_angle_beta 90.00
_cell_angle_gamma 90.00
loop_
_space_group_symop_operation_xyz
'x,y,z'
loop_
_atom_site_label
_atom_site_fract_x
_atom_site_fract_y
_atom_site_fract_z
Li1 0.0886 0.2037 0.0000
Li2 0.1683 0.7040 0.2469
Li3 0.3317 0.2040 0.7469
Li4 0.4114 0.7037 0.5000
Li5 0.5886 0.2963 0.0000
Li6 0.6683 0.7960 0.2469
Li7 0.8317 0.2960 0.7469
Li8 0.9114 0.7963 0.5000
Cu1 0.0825 0.2171 0.4998
Cu2 0.4175 0.7171 0.9998
Cu3 0.5825 0.2829 0.4998
Cu4 0.9175 0.7829 0.9998
Si1 0.1673 0.6967 0.7454
Si2 0.3327 0.1967 0.2454
Si3 0.6673 0.8033 0.7454
Si4 0.8327 0.3033 0.2454
O1 0.0943 0.7992 0.5298
O2 0.0951 0.8035 0.9603
O3 0.1665 0.3631 0.7457
O4 0.1891 0.3065 0.2481
O5 0.3109 0.8065 0.7481
O6 0.3335 0.8631 0.2457
O7 0.4049 0.3035 0.4603
O8 0.4057 0.2992 0.0298
O9 0.5943 0.7008 0.5298
O10 0.5951 0.6965 0.9603
O11 0.6665 0.1369 0.7457
O12 0.6891 0.1935 0.2481
O13 0.8109 0.6935 0.7481
O14 0.8335 0.6369 0.2457
O15 0.9049 0.1965 0.4603
O16 0.9057 0.2008 0.0298
```

Main lines, in order of falling intensity (2θ from 10° to 90°):
hkl	d (Å)	Rel. int.
0 1 1	3.901	100
2 0 1	4.112	95
2 0 2	2.720	88
0 2 0	2.487	56
6 0 2	1.569	32
4 1 0	2.386	30
2 1 1	3.169	29
2 2 2	1.835	29
2 2 1	2.128	22
6 2 2	1.327	21



No. 2
Calculated powder diffractogram of MnVSb4 for Cu Kα (weighted mean of Kα1 and Kα2), from a crystal structure in Alexandria, relaxed with PBE.
Intensities are scaled so that the largest is 100.

```
data_MnVSb4
_chemical_formula_sum 'Mn1 V1 Sb4'
_space_group_name_H-M_alt 'P 1'
_space_group_IT_number 1
_cell_length_a 5.8856
_cell_length_b 3.5527
_cell_length_c 6.3522
_cell_angle_alpha 90.00
_cell_angle_beta 91.84
_cell_angle_gamma 90.00
loop_
_space_group_symop_operation_xyz
'x,y,z'
loop_
_atom_site_label
_atom_site_fract_x
_atom_site_fract_y
_atom_site_fract_z
Mn1 0.0000 0.0000 0.0000
V1 0.5000 0.5000 0.0000
Sb1 0.1671 0.5000 0.2833
Sb2 0.3261 0.0000 0.7138
Sb3 0.6739 0.0000 0.2862
Sb4 0.8329 0.5000 0.7167
```

Main lines, in order of falling intensity (2θ from 10° to 90°):
hkl	d (Å)	Rel. int.
1 1 1	2.725	100
2 0 -1	2.702	47
1 1 -2	2.214	41
3 1 0	1.717	26
0 0 2	3.174	25
1 1 -1	2.761	21
2 0 2	2.124	20
0 2 0	1.776	15
2 2 -1	1.484	14
0 0 3	2.116	12